Diffraction record for Pr3IrCl3. The powder XRD pattern is calculated, not measured: it uses a cell relaxed with PBE and Cu Kα, 1.54184 Å.

Atomic structure:
Cell lengths 11.9625, 11.9625, 11.9625 Å; angles 90.00, 90.00, 90.00 degrees
Space group I4_132 (No. 214)
One atom of each set of equivalent atoms:
Pr1 0.1128 0.3628 0.1250 [24 per cell]
Ir1 0.1250 0.1250 0.1250 [8 per cell]
Cl1 0.1237 0.3750 0.3737 [24 per cell]

Main lines, in order of rising 2θ (10 to 80 degrees two-theta):
- hkl 1 1 0, d = 8.459 Å, intensity 100.0
- hkl 3 1 0, d = 3.783 Å, intensity 18.2
- hkl 4 0 0, d = 2.991 Å, intensity 80.9
- hkl 5 1 0, d = 2.346 Å, intensity 24.2
- hkl 4 4 0, d = 2.115 Å, intensity 57.6
- hkl 4 4 4, d = 1.727 Å, intensity 19.5
- hkl 8 4 0, d = 1.337 Å, intensity 23.0
- hkl 8 4 4, d = 1.221 Å, intensity 16.5


Diffraction record for Pr3Ir2Cl. The powder XRD pattern is calculated, not measured: it uses a cell relaxed with PBE and Cu Kα, 1.54184 Å.

Atomic structure:
Cell lengths 4.2692, 16.1793, 9.4659 Å; angles 90.00, 90.00, 90.00 degrees
Space group Cmcm (No. 63)
One atom of each set of equivalent atoms:
Pr1 0.0000 0.1131 0.0553 [8 per cell]
Pr2 0.0000 0.3705 0.2500 [4 per cell]
Ir1 0.0000 0.0193 0.7500 [4 per cell]
Ir2 0.0000 0.5000 0.0000 [4 per cell]
Cl1 0.0000 0.2804 0.7500 [4 per cell]

Main lines, in order of rising 2θ (10 to 80 degrees two-theta):
- hkl 0 2 0, d = 8.090 Å, intensity 100.0
- hkl 0 2 3, d = 2.940 Å, intensity 24.2
- hkl 1 3 2, d = 2.733 Å, intensity 85.1
- hkl 1 5 1, d = 2.488 Å, intensity 16.4
- hkl 0 0 4, d = 2.366 Å, intensity 14.1
- hkl 1 5 2, d = 2.264 Å, intensity 48.9
- hkl 2 0 0, d = 2.135 Å, intensity 20.0
- hkl 0 8 0, d = 2.022 Å, intensity 10.9